This entry pairs a crystal structure of Fe2S3O12 with its theoretical PXRD pattern. Radiation: Cu Ka. Structure: a cell relaxed with PBE+U.

Cell and atoms:
```
34
Lattice="4.191 2.420 7.517 -4.191 2.420 7.517 0.000 -4.840 7.517" Properties=species:S:1:pos:R:3 pbc="T T T"
Fe 0.000 0.000 3.266
Fe 0.000 0.000 7.901
Fe 0.000 0.000 14.650
Fe 0.000 0.000 19.286
S -2.993 -0.313 9.385
S -1.225 -2.748 13.166
S 1.768 -2.435 9.385
S -1.768 2.435 13.166
S 1.225 2.748 9.385
S 2.993 0.313 13.166
O -3.272 -1.024 10.654
O -2.601 -2.237 12.997
O -3.238 1.134 9.555
O -0.305 -1.621 6.734
O -1.569 -0.545 9.046
O -0.749 -3.346 11.898
O -1.252 1.075 6.734
O 0.637 -3.371 9.555
O -2.523 2.321 11.898
O -0.312 -1.631 13.505
O 1.256 -1.086 9.046
O -1.557 -0.547 15.817
O 1.557 0.547 6.734
O -1.256 1.086 13.505
O 0.312 1.631 9.046
O 2.523 -2.321 10.654
O -0.637 3.371 12.997
O 1.252 -1.075 15.817
O 0.749 3.346 10.654
O 1.569 0.545 13.505
O 0.305 1.621 15.817
O 3.238 -1.134 12.997
O 2.601 2.237 9.555
O 3.272 1.024 11.898
```

The 10 most intense peaks (2θ from 10° to 90°), most intense first:
3.661 Å, intensity 100
6.104 Å, intensity 55
4.453 Å, intensity 49
2.798 Å, intensity 48
3.052 Å, intensity 41
1.742 Å, intensity 17
4.191 Å, intensity 16
2.420 Å, intensity 15
1.830 Å, intensity 14
1.584 Å, intensity 11